No. 1
This entry pairs a crystal structure of Tb12Pm6Sm with its computed powder diffractogram. Radiation: Cu Ka. Structure: a cell relaxed with PBE.

Main lines, sorted by position (15° ≤ 2θ ≤ 90°):
| Position (°2θ) | I_rel |
| --- | --- |
| 23.4 | 14 |
| 30.8 | 93 |
| 31.2 | 76 |
| 31.9 | 59 |
| 32.7 | 100 |
| 33.2 | 37 |
| 53.6 | 17 |
| 55.5 | 22 |
| 57.1 | 23 |
| 63.1 | 15 |

Structure:
abc: 8.6080 8.6080 8.6080
angles: 91.50 91.50 91.50
Positions (direct):
Tb1 0.0275 0.9676 0.2920
Tb2 0.0324 0.7080 0.9725
Tb3 0.1191 0.4318 0.3597
Tb4 0.2920 0.0275 0.9676
Tb5 0.3597 0.1191 0.4318
Tb6 0.4318 0.3597 0.1191
Tb7 0.5682 0.6403 0.8809
Tb8 0.6403 0.8809 0.5682
Tb9 0.7080 0.9725 0.0324
Tb10 0.8809 0.5682 0.6403
Tb11 0.9676 0.2920 0.0275
Tb12 0.9725 0.0324 0.7080
Pm1 0.2254 0.3628 0.7540
Pm2 0.2460 0.7746 0.6372
Pm3 0.3628 0.7540 0.2254
Pm4 0.6372 0.2460 0.7746
Pm5 0.7540 0.2254 0.3628
Pm6 0.7746 0.6372 0.2460
Sm1 0.5000 0.5000 0.5000



No. 2
This entry pairs a crystal structure of Tb6PmSm3 with its computed powder diffractogram. Radiation: Cu Ka. Structure: a cell relaxed with PBE.

Main lines, sorted by position (15° ≤ 2θ ≤ 90°):
| Position (°2θ) | I_rel |
| --- | --- |
| 29.1 | 68 |
| 31.2 | 100 |
| 32.4 | 15 |
| 41.6 | 13 |
| 43.2 | 23 |
| 49.3 | 10 |
| 54.2 | 23 |
| 55.5 | 19 |
| 57.2 | 14 |
| 65.1 | 12 |

Structure:
abc: 6.9331 6.9331 6.9331
angles: 91.50 91.50 91.50
Positions (direct):
Tb1 0.9997 0.3276 0.6728
Tb2 0.1730 0.8272 0.4997
Tb3 0.3276 0.6728 0.9997
Tb4 0.4997 0.1730 0.8272
Tb5 0.6728 0.9997 0.3276
Tb6 0.8272 0.4997 0.1730
Pm1 0.0010 0.0010 0.0010
Sm1 0.2520 0.2520 0.2520
Sm2 0.5010 0.5010 0.5010
Sm3 0.7510 0.7510 0.7510



No. 3
This entry pairs a crystal structure of Tb7Pm3Sm with its computed powder diffractogram. Radiation: Cu Ka. Structure: a cell relaxed with PBE.

Main lines, sorted by position (15° ≤ 2θ ≤ 90°):
| Position (°2θ) | I_rel |
| --- | --- |
| 17.6 | 4 |
| 25.1 | 3 |
| 30.8 | 100 |
| 35.7 | 51 |
| 51.4 | 36 |
| 61.1 | 43 |
| 64.2 | 12 |
| 75.7 | 6 |
| 83.9 | 18 |
| 86.6 | 17 |

Structure:
abc: 7.1091 7.1091 8.7076
angles: 90.00 90.00 120.00
Positions (direct):
Tb1 0.0000 0.0000 0.0000
Tb2 0.1657 0.3314 0.3250
Tb3 0.1657 0.8343 0.3250
Tb4 0.5008 0.0016 0.9966
Tb5 0.5008 0.4992 0.9966
Tb6 0.6686 0.8343 0.3250
Tb7 0.9984 0.4992 0.9966
Pm1 0.3330 0.1665 0.6617
Pm2 0.8335 0.1665 0.6617
Pm3 0.8335 0.6670 0.6617
Sm1 0.6667 0.3333 0.3225